Structure and computed powder diffractogram of PuCd2ClO4 (a cell relaxed with GGA-PBE; Cu Ka).

Main lines, in order of rising 2θ (10 to 90 degrees two-theta):
| Position (°2θ) | d [Å] | Rel. int. |
| --- | --- | --- |
| 10.78 | 8.209 | 100 |
| 21.53 | 4.128 | 46 |
| 25.33 | 3.516 | 42 |
| 28.11 | 3.175 | 36 |
| 29.72 | 3.006 | 26 |
| 31.66 | 2.826 | 47 |
| 34.22 | 2.620 | 27 |
| 38.13 | 2.360 | 36 |
| 40.28 | 2.239 | 29 |
| 42.43 | 2.130 | 21 |

Crystal structure
```
PuCd2ClO4
1.0
5.309 -1.683 0.000
5.309 1.683 0.000
-3.977 0.000 8.209
Pu Cd Cl O
1 2 1 4
Direct
0.000 0.000 0.000
0.155 0.155 0.756
0.845 0.845 0.244
0.500 0.500 0.500
0.190 0.190 0.192
0.431 0.431 0.108
0.569 0.569 0.892
0.810 0.810 0.808
```